Structure and calculated PXRD pattern of Sb2WO6 (a structure optimized by DFT (PBE+U); Cu Ka).
Kinematic intensities with the Lorentz-polarization factor, no thermal factor.

Structure:
Lattice parameters (Å, degrees): 5.6234 5.0611 9.3775 90.00 95.70 90.00
Element x y z (fractional)
1 Sb 0.1112 0.0000 0.1663
2 Sb 0.3877 0.1097 0.8339
3 Sb 0.6123 0.6097 0.1661
4 Sb 0.8888 0.5000 0.8337
5 W 0.2523 0.5755 0.5039
6 W 0.7477 0.0755 0.4961
7 O 0.0288 0.8323 0.5547
8 O 0.1107 0.2400 0.9413
9 O 0.2347 0.6939 0.3084
10 O 0.2643 0.4150 0.6906
11 O 0.3910 0.8726 0.0610
12 O 0.4726 0.2899 0.4443
13 O 0.5274 0.7899 0.5557
14 O 0.6090 0.3726 0.9390
15 O 0.7357 0.9150 0.3094
16 O 0.7653 0.1939 0.6916
17 O 0.8893 0.7400 0.0587
18 O 0.9712 0.3323 0.4453

Principal peaks in the range 2θ from 10° to 90°, in order of falling intensity:
2θ (°)	d [Å]	I_rel	h k l
26.17	3.405	100	1 1 1
29.53	3.025	61	1 1 -2
28.70	3.110	36	0 0 3
32.48	2.756	25	2 0 -1
47.23	1.925	20	1 1 4
46.25	1.963	17	0 2 3
48.86	1.864	16	2 2 -1
53.35	1.717	15	1 1 -5
52.27	1.750	15	3 1 0
39.14	2.302	14	2 0 2